Diffraction record for ScGa3Ir2. The PXRD pattern is calculated, not measured: it uses a PBE-relaxed structure and Cu Kα, 1.54184 Å.
Peak positions follow from Bragg's law for the DFT cell and can differ from measured ones.

Main lines, low angle first (10° ≤ 2θ ≤ 80°):
Position (°2θ)  I/Imax
13.20  73
35.99  16
38.49  100
40.34  24
45.30  69
55.16  12
64.70  20
67.27  16
77.87  13
79.07  20

Structural model:
abc: 5.7631 5.7631 6.7072
angles: 90.00 90.00 120.00
Space group P-3m1 (No. 164)
One atom of each set of equivalent atoms:
1 Sc 0.3333 0.6667 0.3433 (multiplicity 2)
2 Ga 0.1681 0.3362 0.6958 (multiplicity 6)
3 Ir 0.0000 0.0000 0.0000 (multiplicity 1)
4 Ir 0.0000 0.5000 0.0000 (multiplicity 3)


Diffraction record for PaCuF6. The PXRD pattern is calculated, not measured: it uses a PBE-relaxed structure and Cu Kα, 1.54184 Å.
Peak positions follow from Bragg's law for the DFT cell and can differ from measured ones.

Main lines, low angle first (10° ≤ 2θ ≤ 80°):
Position (°2θ)  I/Imax
17.36  15
19.51  32
21.96  100
29.89  25
29.99  12
32.54  22
37.12  17
44.85  12
48.73  15
52.18  12

Structural model:
abc: 5.4973 5.4989 6.0046
angles: 89.98 62.88 60.16
Space group P-1 (No. 2)
One atom of each set of equivalent atoms:
1 Pa 0.0000 0.0000 0.0000 (multiplicity 1)
2 Cu 0.0000 0.5000 0.5000 (multiplicity 1)
3 F 0.1204 0.6268 0.7550 (multiplicity 2)
4 F 0.1295 0.7465 0.2447 (multiplicity 2)
5 F 0.4953 0.8786 0.7565 (multiplicity 2)


Diffraction record for NdDy3Os. The PXRD pattern is calculated, not measured: it uses a PBE-relaxed structure and Cu Kα, 1.54184 Å.
Peak positions follow from Bragg's law for the DFT cell and can differ from measured ones.

Main lines, low angle first (10° ≤ 2θ ≤ 80°):
Position (°2θ)  I/Imax
12.41  75
28.49  37
29.42  42
29.87  63
30.14  74
32.49  34
33.89  74
34.46  54
35.24  100
36.48  48

Structural model:
abc: 7.2084 7.8828 10.4356
angles: 90.00 98.19 90.00
Space group P2_1/c (No. 14)
One atom of each set of equivalent atoms:
1 Nd 0.2093 0.0224 0.2387 (multiplicity 4)
2 Dy 0.0948 0.6954 0.0277 (multiplicity 4)
3 Dy 0.3060 0.0002 0.8526 (multiplicity 4)
4 Dy 0.3995 0.1503 0.5721 (multiplicity 4)
5 Os 0.4550 0.7128 0.1650 (multiplicity 4)


Diffraction record for AlIr2O6. The PXRD pattern is calculated, not measured: it uses a PBE-relaxed structure and Cu Kα, 1.54184 Å.
Peak positions follow from Bragg's law for the DFT cell and can differ from measured ones.

Main lines, low angle first (10° ≤ 2θ ≤ 80°):
Position (°2θ)  I/Imax
20.69  27
29.37  100
36.24  33
42.08  7
47.20  7
47.31  26
56.60  29
61.01  27
65.20  10
68.94  9

Structural model:
abc: 8.5857 8.5857 4.3088
angles: 90.00 90.00 120.00
Space group P321 (No. 150)
One atom of each set of equivalent atoms:
1 Al 0.0000 0.0000 0.0000 (multiplicity 1)
2 Al 0.3333 0.6667 0.5072 (multiplicity 2)
3 Ir 0.0000 0.3198 0.5000 (multiplicity 3)
4 Ir 0.0000 0.6543 0.0000 (multiplicity 3)
5 O 0.1031 0.8879 0.7707 (multiplicity 6)
6 O 0.1194 0.5463 0.7442 (multiplicity 6)
7 O 0.2157 0.7638 0.2727 (multiplicity 6)


What did the first record say?
Diffraction record for ScGa3Ir2. The PXRD pattern is calculated, not measured: it uses a PBE-relaxed structure and Cu Kα, 1.54184 Å.
Peak positions follow from Bragg's law for the DFT cell and can differ from measured ones.

Main lines, low angle first (10° ≤ 2θ ≤ 80°):
Position (°2θ)  I/Imax
13.20  73
35.99  16
38.49  100
40.34  24
45.30  69
55.16  12
64.70  20
67.27  16
77.87  13
79.07  20

Structural model:
abc: 5.7631 5.7631 6.7072
angles: 90.00 90.00 120.00
Space group P-3m1 (No. 164)
One atom of each set of equivalent atoms:
1 Sc 0.3333 0.6667 0.3433 (multiplicity 2)
2 Ga 0.1681 0.3362 0.6958 (multiplicity 6)
3 Ir 0.0000 0.0000 0.0000 (multiplicity 1)
4 Ir 0.0000 0.5000 0.0000 (multiplicity 3)